This entry pairs a crystal structure of ReC5BrO5 with its calculated PXRD pattern. Radiation: CuKα. Structure: a structure optimized by DFT (GGA-PBE).

Top 10 peaks for 15° ≤ 2θ ≤ 90°, by intensity:
(hkl)	2θ (°)	Rel. int.
0 2 0	15.61	100
2 1 0	17.24	86
1 0 1	16.78	69
3 1 1	28.74	60
1 2 1	22.99	47
3 3 1	36.58	44
2 3 1	32.04	36
1 1 1	18.51	32
2 1 2	34.85	32
2 3 0	28.21	27

Structural model:
Unit cell a=11.5378 b=11.3508 c=5.9508 alpha=90.00 beta=90.00 gamma=90.00
Sites, in units of the cell vectors:
Re 0.1236 0.2500 0.0471
Re 0.3764 0.7500 0.5471
Re 0.6236 0.2500 0.4529
Re 0.8764 0.7500 0.9529
C 0.0232 0.2500 0.7882
C 0.0294 0.1226 0.1924
C 0.0294 0.3774 0.1924
C 0.2246 0.1236 0.9141
C 0.2246 0.3764 0.9141
C 0.2754 0.6236 0.4141
C 0.2754 0.8764 0.4141
C 0.4706 0.6226 0.6924
C 0.4706 0.8774 0.6924
C 0.4768 0.7500 0.2882
C 0.5232 0.2500 0.7118
C 0.5294 0.1226 0.3076
C 0.5294 0.3774 0.3076
C 0.7246 0.1236 0.5859
C 0.7246 0.3764 0.5859
C 0.7754 0.6236 0.0859
C 0.7754 0.8764 0.0859
C 0.9706 0.6226 0.8076
C 0.9706 0.8774 0.8076
C 0.9768 0.7500 0.2118
Br 0.2405 0.7500 0.9004
Br 0.2595 0.2500 0.4004
Br 0.7405 0.7500 0.5996
Br 0.7595 0.2500 0.0996
O 0.0222 0.5458 0.7297
O 0.0222 0.9542 0.7297
O 0.0390 0.7500 0.3661
O 0.2188 0.5494 0.3412
O 0.2188 0.9506 0.3412
O 0.2812 0.0494 0.8412
O 0.2812 0.4506 0.8412
O 0.4610 0.2500 0.8661
O 0.4778 0.0458 0.2297
O 0.4778 0.4542 0.2297
O 0.5222 0.5458 0.7703
O 0.5222 0.9542 0.7703
O 0.5390 0.7500 0.1339
O 0.7188 0.5494 0.1588
O 0.7188 0.9506 0.1588
O 0.7812 0.0494 0.6588
O 0.7812 0.4506 0.6588
O 0.9610 0.2500 0.6339
O 0.9778 0.0458 0.2703
O 0.9778 0.4542 0.2703